The following is a simulated PXRD pattern of Ca3Ga2P4. It was derived from DFT lattice parameters and positions (GGA-PBE), using Cu Kα.
Peak positions follow from Bragg's law for the DFT cell and can differ from measured ones.

Structure:
Lattice parameters (Å, degrees): 12.661 9.908 6.481 90.00 91.07 90.00
Space group C2/c (No. 15)
Inequivalent atoms, fractional coordinates:
Ca 0.000 0.100 0.250 [4 per cell]
Ca 0.122 0.373 0.973 [8 per cell]
Ga 0.203 0.122 0.590 [8 per cell]
P 0.112 0.329 0.478 [8 per cell]
P 0.154 0.089 0.939 [8 per cell]

Top 10 peaks for 10 to 80 degrees two-theta, in order of rising 2θ:
| two_theta | intensity | hkl |
| --- | --- | --- |
| 13.99 | 60 | 2 0 0 |
| 26.53 | 100 | 2 2 -1 |
| 26.98 | 69 | 3 1 1 |
| 27.53 | 69 | 0 0 2 |
| 29.98 | 53 | 1 1 2 |
| 36.26 | 91 | 0 4 0 |
| 36.64 | 90 | 5 1 0 |
| 37.41 | 77 | 3 3 1 |
| 39.44 | 60 | 4 0 -2 |
| 39.71 | 43 | 1 3 2 |